Li2HoAu8: theoretical powder diffraction line list (Cu Kα (λ = 1.5418 Å)), based on a GGA-PBE-relaxed structure.
Neutral-atom scattering factors, no anomalous dispersion.

Top 10 peaks for 5° ≤ 2θ ≤ 70°, sorted by position:
| d [Å] | I/Imax | index |
| --- | --- | --- |
| 6.683 | 8.8 | 1 1 0 |
| 3.795 | 8.4 | 3 1 0 |
| 3.633 | 17.3 | 1 1 -1 |
| 2.544 | 8.6 | 1 3 0 |
| 2.426 | 14.2 | 3 1 1 |
| 2.369 | 100.0 | 2 2 1 |
| 2.173 | 19.1 | 6 0 0 |
| 2.054 | 18.7 | 2 0 -2 |
| 1.946 | 11.3 | 0 4 0 |
| 1.412 | 8.1 | 2 4 -2 |

Structure:
Lattice parameters (Å, degrees): 13.6628 7.7823 4.1074 90.00 107.36 90.00
Space group C2 (No. 5)
Unique sites:
Li (0.1554, 0.0000, 0.1557) (multiplicity 4)
Ho (0.0000, 0.5611, 0.5000) (multiplicity 2)
Au (0.0000, 0.2710, 0.0000) (multiplicity 2)
Au (0.0000, 0.9702, 0.5000) (multiplicity 2)
Au (0.1546, 0.2493, 0.6549) (multiplicity 4)
Au (0.1646, 0.5278, 0.1644) (multiplicity 4)
Au (0.1837, 0.7746, 0.6843) (multiplicity 4)